[1]
The following is a computed XRD peak list of SmSi2NiGe. It was derived from a DFT-relaxed cell (GGA-PBE, OQMD), using CuKα.

Principal peaks in the range 2θ from 15° to 90°, most intense first:
33.86 deg, intensity 1000; 33.44 deg, intensity 413; 44.10 deg, intensity 297; 44.92 deg, intensity 214; 45.08 deg, intensity 212; 64.77 deg, intensity 184; 57.27 deg, intensity 174; 36.83 deg, intensity 157; 31.68 deg, intensity 149; 65.53 deg, intensity 135; 16.50 deg, intensity 128; 47.95 deg, intensity 100

Structural model:
Lattice parameters (Å, degrees): 10.934 10.934 4.036 90.00 90.00 158.80
Atoms (fractional coordinates):
Sm1 0.166 0.834 0.000
Sm2 0.834 0.166 0.000
Si1 0.055 0.945 0.500
Si2 0.445 0.555 0.000
Si3 0.555 0.445 0.000
Si4 0.945 0.055 0.500
Ni1 0.395 0.605 0.500
Ni2 0.605 0.395 0.500
Ge1 0.285 0.715 0.500
Ge2 0.715 0.285 0.500



[2]
The following is a computed XRD peak list of Li4Gd2O5. It was derived from a DFT-relaxed cell (GGA-PBE, OQMD), using CuKα.

Principal peaks in the range 2θ from 15° to 90°, most intense first:
19.59 deg, intensity 1000; 27.71 deg, intensity 662; 20.58 deg, intensity 599; 34.17 deg, intensity 580; 39.59 deg, intensity 532; 44.55 deg, intensity 456; 57.39 deg, intensity 338; 28.56 deg, intensity 320; 49.18 deg, intensity 283; 39.79 deg, intensity 275; 26.07 deg, intensity 246; 32.83 deg, intensity 191

Structural model:
Lattice parameters (Å, degrees): 7.204 7.204 4.530 90.00 90.00 143.19
Atoms (fractional coordinates):
Li1 0.000 0.000 0.000
Li2 0.188 0.812 0.500
Li3 0.500 0.500 0.500
Li4 0.812 0.188 0.500
Gd1 0.342 0.658 0.000
Gd2 0.658 0.342 0.000
O1 0.164 0.836 0.000
O2 0.342 0.658 0.500
O3 0.500 0.500 0.000
O4 0.658 0.342 0.500
O5 0.836 0.164 0.000



[3]
The following is a computed XRD peak list of YHo2Al7Ag2. It was derived from a DFT-relaxed cell (GGA-PBE, OQMD), using CuKα.

Principal peaks in the range 2θ from 15° to 90°, most intense first:
38.45 deg, intensity 1000; 32.32 deg, intensity 862; 22.95 deg, intensity 380; 20.27 deg, intensity 340; 30.22 deg, intensity 242; 61.76 deg, intensity 241; 40.02 deg, intensity 188; 67.66 deg, intensity 179; 52.34 deg, intensity 164; 62.74 deg, intensity 163; 39.07 deg, intensity 163; 57.65 deg, intensity 161

Structural model:
Lattice parameters (Å, degrees): 9.328 9.328 9.328 34.54 34.54 34.54
Atoms (fractional coordinates):
Y1 0.000 0.000 0.000
Ho1 0.142 0.142 0.142
Ho2 0.858 0.858 0.858
Al1 0.076 0.588 0.588
Al2 0.412 0.412 0.924
Al3 0.412 0.924 0.412
Al4 0.500 0.500 0.500
Al5 0.588 0.076 0.588
Al6 0.588 0.588 0.076
Al7 0.924 0.412 0.412
Ag1 0.336 0.336 0.336
Ag2 0.664 0.664 0.664



[4]
The following is a computed XRD peak list of Er4GaCo2Ge4. It was derived from a DFT-relaxed cell (GGA-PBE, OQMD), using CuKα.

Principal peaks in the range 2θ from 15° to 90°, most intense first:
35.31 deg, intensity 1000; 33.76 deg, intensity 932; 36.71 deg, intensity 638; 43.06 deg, intensity 547; 36.87 deg, intensity 379; 37.80 deg, intensity 342; 35.70 deg, intensity 331; 41.24 deg, intensity 230; 28.20 deg, intensity 208; 39.26 deg, intensity 205; 61.18 deg, intensity 204; 33.18 deg, intensity 186

Structural model:
Lattice parameters (Å, degrees): 7.851 7.851 6.881 106.72 106.72 31.04
Atoms (fractional coordinates):
Er1 0.088 0.088 0.384
Er2 0.151 0.151 0.942
Er3 0.849 0.849 0.058
Er4 0.912 0.912 0.616
Ga1 0.500 0.500 0.000
Co1 0.279 0.279 0.370
Co2 0.721 0.721 0.630
Ge1 0.295 0.295 0.733
Ge2 0.433 0.433 0.337
Ge3 0.567 0.567 0.663
Ge4 0.705 0.705 0.267



[5]
The following is a computed XRD peak list of GdYZr2Sb2. It was derived from a DFT-relaxed cell (GGA-PBE, OQMD), using CuKα.

Principal peaks in the range 2θ from 15° to 90°, most intense first:
36.66 deg, intensity 1000; 31.43 deg, intensity 829; 42.22 deg, intensity 632; 34.03 deg, intensity 506; 32.14 deg, intensity 343; 29.51 deg, intensity 335; 54.03 deg, intensity 307; 73.54 deg, intensity 251; 55.30 deg, intensity 249; 61.24 deg, intensity 206; 80.75 deg, intensity 180; 65.16 deg, intensity 164

Structural model:
Lattice parameters (Å, degrees): 8.887 8.887 8.887 152.12 152.12 39.83
Atoms (fractional coordinates):
Gd1 0.000 0.000 0.000
Y1 0.646 0.646 0.000
Zr1 0.323 0.823 0.500
Zr2 0.823 0.323 0.500
Sb1 0.190 0.190 0.000
Sb2 0.455 0.455 0.000



[6]
The following is a computed XRD peak list of Gd2HoMg3AgAu2. It was derived from a DFT-relaxed cell (GGA-PBE, OQMD), using CuKα.

Principal peaks in the range 2θ from 15° to 90°, most intense first:
34.89 deg, intensity 1000; 32.16 deg, intensity 986; 22.91 deg, intensity 498; 40.24 deg, intensity 408; 42.15 deg, intensity 307; 35.32 deg, intensity 230; 62.28 deg, intensity 225; 45.42 deg, intensity 216; 64.84 deg, intensity 169; 25.95 deg, intensity 152; 48.81 deg, intensity 129; 54.27 deg, intensity 128

Structural model:
Lattice parameters (Å, degrees): 3.993 7.757 7.757 119.86 90.00 90.00
Atoms (fractional coordinates):
Gd1 0.000 0.207 0.793
Gd2 0.000 0.793 0.207
Ho1 0.000 0.379 0.379
Mg1 0.500 0.044 0.044
Mg2 0.500 0.542 0.792
Mg3 0.500 0.792 0.542
Ag1 0.000 0.792 0.792
Au1 0.500 0.129 0.459
Au2 0.500 0.459 0.129



[7]
The following is a computed XRD peak list of NiSe7. It was derived from a DFT-relaxed cell (GGA-PBE, OQMD), using CuKα.

Principal peaks in the range 2θ from 15° to 90°, most intense first:
33.88 deg, intensity 1000; 26.87 deg, intensity 788; 48.79 deg, intensity 760; 35.87 deg, intensity 742; 29.56 deg, intensity 709; 32.64 deg, intensity 539; 34.29 deg, intensity 538; 48.50 deg, intensity 422; 46.66 deg, intensity 305; 15.18 deg, intensity 304; 51.47 deg, intensity 233; 31.00 deg, intensity 182

Structural model:
Lattice parameters (Å, degrees): 6.478 6.478 17.307 90.05 90.05 146.32
Atoms (fractional coordinates):
Ni1 0.203 0.797 0.750
Ni2 0.797 0.203 0.250
Se1 0.082 0.914 0.857
Se2 0.086 0.918 0.643
Se3 0.187 0.813 0.250
Se4 0.287 0.712 0.413
Se5 0.288 0.713 0.087
Se6 0.363 0.635 0.956
Se7 0.365 0.637 0.544
Se8 0.635 0.363 0.456
Se9 0.637 0.365 0.044
Se10 0.712 0.287 0.913
Se11 0.713 0.288 0.587
Se12 0.813 0.187 0.750
Se13 0.914 0.082 0.357
Se14 0.918 0.086 0.143



[8]
The following is a computed XRD peak list of PtC8. It was derived from a DFT-relaxed cell (GGA-PBE, OQMD), using CuKα.

Principal peaks in the range 2θ from 15° to 90°, most intense first:
21.29 deg, intensity 1000; 23.12 deg, intensity 825; 25.93 deg, intensity 629; 47.28 deg, intensity 530; 37.76 deg, intensity 463; 33.43 deg, intensity 319; 36.54 deg, intensity 254; 39.55 deg, intensity 202; 52.51 deg, intensity 190; 42.18 deg, intensity 170; 41.99 deg, intensity 167; 42.48 deg, intensity 165

Structural model:
Lattice parameters (Å, degrees): 9.589 8.922 4.970 82.00 67.12 30.88
Atoms (fractional coordinates):
Pt1 0.125 0.125 0.125
Pt2 0.875 0.875 0.875
C1 0.080 0.414 0.336
C2 0.083 0.415 0.833
C3 0.167 0.832 0.917
C4 0.168 0.833 0.415
C5 0.330 0.664 0.586
C6 0.336 0.670 0.080
C7 0.414 0.080 0.670
C8 0.415 0.083 0.168
C9 0.585 0.917 0.832
C10 0.586 0.920 0.330
C11 0.664 0.330 0.920
C12 0.670 0.336 0.414
C13 0.832 0.167 0.585
C14 0.833 0.168 0.083
C15 0.917 0.585 0.167
C16 0.920 0.586 0.664



[9]
The following is a computed XRD peak list of GdHPtS4O16. It was derived from a DFT-relaxed cell (GGA-PBE, OQMD), using CuKα.

Principal peaks in the range 2θ from 15° to 90°, most intense first:
20.09 deg, intensity 1000; 16.68 deg, intensity 962; 19.34 deg, intensity 691; 33.86 deg, intensity 682; 20.47 deg, intensity 590; 20.60 deg, intensity 451; 29.91 deg, intensity 441; 30.23 deg, intensity 396; 31.49 deg, intensity 359; 35.28 deg, intensity 273; 25.57 deg, intensity 250; 45.51 deg, intensity 246

Structural model:
Lattice parameters (Å, degrees): 8.247 8.936 9.317 108.10 111.93 103.32
Atoms (fractional coordinates):
Gd1 0.222 0.148 0.358
Gd2 0.778 0.852 0.642
H1 0.138 0.513 0.323
H2 0.862 0.487 0.677
Pt1 0.379 0.562 0.007
Pt2 0.621 0.438 0.993
S1 0.153 0.813 0.967
S2 0.215 0.182 0.765
S3 0.272 0.788 0.472
S4 0.461 0.557 0.709
S5 0.539 0.443 0.291
S6 0.728 0.212 0.528
S7 0.785 0.818 0.235
S8 0.847 0.187 0.033
O1 0.025 0.266 0.202
O2 0.095 0.018 0.736
O3 0.127 0.933 0.098
O4 0.140 0.616 0.303
O5 0.174 0.671 0.019
O6 0.182 0.320 0.885
O7 0.185 0.207 0.612
O8 0.214 0.913 0.418
O9 0.240 0.775 0.610
O10 0.318 0.898 0.956
O11 0.325 0.572 0.783
O12 0.340 0.459 0.522
O13 0.399 0.276 0.234
O14 0.419 0.199 0.863
O15 0.436 0.553 0.233
O16 0.470 0.821 0.506
O17 0.530 0.179 0.494
O18 0.564 0.447 0.767
O19 0.581 0.801 0.137
O20 0.601 0.724 0.766
O21 0.660 0.541 0.478
O22 0.675 0.428 0.217
O23 0.682 0.102 0.044
O24 0.760 0.225 0.390
O25 0.786 0.087 0.582
O26 0.815 0.793 0.388
O27 0.818 0.680 0.115
O28 0.826 0.329 0.981
O29 0.860 0.384 0.697
O30 0.873 0.067 0.902
O31 0.905 0.982 0.264
O32 0.975 0.734 0.798



[10]
The following is a computed XRD peak list of Ba5Re3O15F. It was derived from a DFT-relaxed cell (GGA-PBE, OQMD), using CuKα.

Principal peaks in the range 2θ from 15° to 90°, most intense first:
27.71 deg, intensity 1000; 28.16 deg, intensity 730; 28.66 deg, intensity 659; 22.70 deg, intensity 319; 43.08 deg, intensity 272; 19.98 deg, intensity 256; 36.52 deg, intensity 234; 54.39 deg, intensity 222; 29.77 deg, intensity 221; 40.61 deg, intensity 218; 55.43 deg, intensity 181; 75.18 deg, intensity 180

Structural model:
Lattice parameters (Å, degrees): 10.790 10.790 7.833 90.00 90.00 120.00
Atoms (fractional coordinates):
Ba1 0.000 0.252 0.000
Ba2 0.000 0.748 0.500
Ba3 0.252 0.000 0.000
Ba4 0.252 0.252 0.500
Ba5 0.333 0.667 0.259
Ba6 0.333 0.667 0.759
Ba7 0.667 0.333 0.259
Ba8 0.667 0.333 0.759
Ba9 0.748 0.000 0.500
Ba10 0.748 0.748 0.000
Re1 0.000 0.389 0.552
Re2 0.000 0.611 0.052
Re3 0.389 0.000 0.552
Re4 0.389 0.389 0.052
Re5 0.611 0.000 0.052
Re6 0.611 0.611 0.552
O1 0.000 0.288 0.375
O2 0.000 0.712 0.875
O3 0.133 0.554 0.012
O4 0.133 0.580 0.512
O5 0.134 0.386 0.697
O6 0.134 0.748 0.197
O7 0.252 0.386 0.197
O8 0.252 0.866 0.697
O9 0.288 0.000 0.375
O10 0.288 0.288 0.875
O11 0.386 0.134 0.697
O12 0.386 0.252 0.197
O13 0.420 0.554 0.512
O14 0.420 0.867 0.012
O15 0.446 0.580 0.012
O16 0.446 0.867 0.512
O17 0.554 0.133 0.012
O18 0.554 0.420 0.512
O19 0.580 0.133 0.512
O20 0.580 0.446 0.012
O21 0.614 0.748 0.697
O22 0.614 0.866 0.197
O23 0.712 0.000 0.875
O24 0.712 0.712 0.375
O25 0.748 0.134 0.197
O26 0.748 0.614 0.697
O27 0.866 0.252 0.697
O28 0.866 0.614 0.197
O29 0.867 0.420 0.012
O30 0.867 0.446 0.512
F1 0.000 0.000 0.027
F2 0.000 0.000 0.527



[11]
The following is a computed XRD peak list of DyYAsI2. It was derived from a DFT-relaxed cell (GGA-PBE, OQMD), using CuKα.

Principal peaks in the range 2θ from 15° to 90°, most intense first:
29.65 deg, intensity 1000; 43.33 deg, intensity 319; 41.51 deg, intensity 319; 53.38 deg, intensity 189; 24.60 deg, intensity 163; 71.10 deg, intensity 159; 61.55 deg, intensity 115; 68.49 deg, intensity 105; 78.25 deg, intensity 95; 35.02 deg, intensity 82; 16.28 deg, intensity 69; 48.81 deg, intensity 57

Structural model:
Lattice parameters (Å, degrees): 4.177 4.177 10.891 90.00 90.00 120.00
Atoms (fractional coordinates):
Dy1 0.000 0.000 0.000
Y1 0.333 0.667 0.282
As1 0.667 0.333 0.141
I1 0.000 0.000 0.468
I2 0.333 0.667 0.815